Diffraction record for Y5Ho2Er4. The powder diffraction line list is calculated, not measured: it uses a cell relaxed with PBE and Cu Kα X-rays.
Kinematic intensities with the Lorentz-polarization factor, no thermal factor.

Principal peaks in the range 2θ from 10° to 90°, by angle:
Position (°2θ), d_spacing, I/Imax
19.0, 4.666, 18
29.4, 3.035, 32
31.8, 2.814, 61
32.1, 2.788, 73
32.6, 2.751, 100
32.7, 2.740, 20
32.9, 2.723, 48
43.9, 2.064, 22
56.8, 1.620, 15
57.1, 1.612, 24
62.3, 1.491, 16
63.5, 1.466, 15

Cell and atoms:
```
11
Lattice="8.119 -2.814 0.000 8.119 2.814 0.000 -5.304 0.000 7.679" Properties=species:S:1:pos:R:3 pbc="T T T"
Y 0.000 0.000 0.000
Y 3.398 0.000 1.976
Y 0.542 0.000 7.205
Y 10.392 0.000 0.474
Y 7.536 0.000 5.703
Ho -2.558 0.000 5.730
Ho 13.493 0.000 1.949
Er 0.425 0.000 3.737
Er 3.549 0.000 5.397
Er 7.385 0.000 2.282
Er 10.510 0.000 3.942
```